Computed X-ray diffraction stick pattern of Sr2Ge3PdPt12 for Cu Kα, from the GGA-PBE geometry in Alexandria.

Crystal structure
```
Sr2Ge3PdPt12
1.0
4.191 2.420 6.227
-4.191 2.420 6.227
0.000 -4.839 6.227
Sr Ge Pd Pt
2 3 1 12
Direct
0.109 0.109 0.109 Sr
0.891 0.891 0.891 Sr
0.000 0.500 0.500 Ge
0.500 0.000 0.500 Ge
0.500 0.500 0.000 Ge
0.500 0.500 0.500 Pd
0.123 0.632 0.632 Pt
0.143 0.143 0.590 Pt
0.143 0.590 0.143 Pt
0.368 0.368 0.877 Pt
0.368 0.877 0.368 Pt
0.410 0.857 0.857 Pt
0.590 0.143 0.143 Pt
0.632 0.123 0.632 Pt
0.632 0.632 0.123 Pt
0.857 0.410 0.857 Pt
0.857 0.857 0.410 Pt
0.877 0.368 0.368 Pt
```

The 10 most intense peaks (2θ = 10–90°), in order of rising 2θ:
two_theta, intensity
21.2, 16
22.6, 21
31.2, 100
43.2, 68
46.2, 57
54.2, 18
65.1, 21
71.7, 14
76.2, 12
81.3, 20

***

Computed X-ray diffraction stick pattern of Ho2Mn16Re for Cu Kα, from the GGA-PBE geometry in Alexandria.

Crystal structure
```
Ho2Mn16Re
1.0
4.329 2.499 3.911
-4.329 2.499 3.911
0.000 -4.999 3.911
Ho Mn Re
2 16 1
Direct
0.000 0.000 0.000 Ho
0.289 0.289 0.289 Ho
0.003 0.003 0.518 Mn
0.003 0.518 0.003 Mn
0.143 0.644 0.644 Mn
0.288 0.288 0.767 Mn
0.288 0.767 0.288 Mn
0.364 0.641 0.920 Mn
0.364 0.920 0.641 Mn
0.518 0.003 0.003 Mn
0.539 0.539 0.539 Mn
0.641 0.364 0.920 Mn
0.641 0.920 0.364 Mn
0.644 0.143 0.644 Mn
0.644 0.644 0.143 Mn
0.767 0.288 0.288 Mn
0.920 0.364 0.641 Mn
0.920 0.641 0.364 Mn
0.743 0.743 0.743 Re
```

The 10 most intense peaks (2θ = 10–90°), in order of rising 2θ:
two_theta, intensity
20.5, 42
30.8, 36
32.8, 30
35.9, 67
39.0, 75
41.7, 100
42.9, 77
44.5, 47
45.6, 30
64.6, 24

***

Computed X-ray diffraction stick pattern of NaNdGe2Pd5 for Cu Kα, from the GGA-PBE geometry in Alexandria.

Crystal structure
```
NaNdGe2Pd5
1.0
4.223 0.000 0.000
0.000 4.223 0.000
0.000 0.000 9.394
Na Nd Ge Pd
1 1 2 5
Direct
0.000 0.000 0.000 Na
0.000 0.000 0.500 Nd
0.500 0.500 0.135 Ge
0.500 0.500 0.865 Ge
0.000 0.500 0.272 Pd
0.000 0.500 0.728 Pd
0.500 0.000 0.272 Pd
0.500 0.000 0.728 Pd
0.500 0.500 0.500 Pd
```

The 10 most intense peaks (2θ = 10–90°), in order of rising 2θ:
two_theta, intensity
35.6, 100
38.3, 11
41.8, 38
42.8, 47
58.8, 12
62.2, 15
66.6, 11
67.6, 12
73.8, 23
77.7, 12

***

Computed X-ray diffraction stick pattern of Ac5RuAu4 for Cu Kα, from the GGA-PBE geometry in Alexandria.

Crystal structure
```
Ac5RuAu4
1.0
-5.032 5.032 3.177
5.032 -5.032 3.177
5.032 5.032 -3.177
Ac Ru Au
5 1 4
Direct
0.000 0.000 0.000 Ac
0.225 0.599 0.824 Ac
0.401 0.225 0.626 Ac
0.599 0.775 0.374 Ac
0.775 0.401 0.176 Ac
0.500 0.500 0.000 Ru
0.089 0.309 0.398 Au
0.309 0.911 0.220 Au
0.691 0.089 0.780 Au
0.911 0.691 0.602 Au
```

The 10 most intense peaks (2θ = 10–90°), in order of rising 2θ:
two_theta, intensity
28.1, 100
35.1, 5
40.1, 75
49.6, 26
57.6, 4
58.0, 7
58.1, 5
65.6, 31
72.8, 22
86.6, 7